# TbCl3
Theoretical powder XRD pattern, Cu Kα. Input: a PBE-relaxed structure.
Peak positions follow from Bragg's law for the DFT cell and can differ from measured ones.

Crystal structure
```
TbCl3
1.0
7.510 0.000 0.000
-3.755 6.504 0.000
0.000 0.000 4.029
Tb Cl
2 6
Direct
0.333 0.667 0.250
0.667 0.333 0.750
0.091 0.697 0.750
0.303 0.394 0.750
0.394 0.091 0.250
0.606 0.909 0.750
0.697 0.606 0.250
0.909 0.303 0.250
```

The 8 most intense peaks (2θ = 10–90°), by angle:
13.61 deg, I = 100.0
23.69 deg, I = 46.8
26.02 deg, I = 59.1
35.47 deg, I = 80.7
41.66 deg, I = 30.1
43.11 deg, I = 70.0
62.99 deg, I = 17.2
66.86 deg, I = 24.4

=====

# TbCl
Theoretical powder XRD pattern, Cu Kα. Input: a PBE-relaxed structure.
Peak positions follow from Bragg's law for the DFT cell and can differ from measured ones.

Crystal structure
```
TbCl
1.0
1.885 1.088 9.623
-1.885 1.088 9.623
0.000 -2.177 9.623
Tb Cl
2 2
Direct
0.215 0.215 0.215
0.785 0.785 0.785
0.391 0.391 0.391
0.609 0.609 0.609
```

The 8 most intense peaks (2θ = 10–90°), by angle:
27.81 deg, I = 17.8
28.02 deg, I = 81.3
31.48 deg, I = 100.0
35.05 deg, I = 63.3
41.76 deg, I = 21.4
44.28 deg, I = 17.9
48.28 deg, I = 36.5
62.60 deg, I = 20.0

=====

# TcCl3
Theoretical powder XRD pattern, Cu Kα. Input: a PBE-relaxed structure.
Peak positions follow from Bragg's law for the DFT cell and can differ from measured ones.

Crystal structure
```
TcCl3
1.0
3.086 -4.840 0.000
3.086 4.840 0.000
-2.012 0.000 6.368
Tc Cl
2 6
Direct
0.142 0.858 0.000
0.858 0.142 0.000
0.095 0.436 0.798
0.241 0.241 0.253
0.436 0.095 0.798
0.564 0.905 0.202
0.759 0.759 0.747
0.905 0.564 0.202
```

The 8 most intense peaks (2θ = 10–90°), by angle:
13.91 deg, I = 100.0
17.64 deg, I = 29.6
19.47 deg, I = 26.2
34.72 deg, I = 28.1
36.57 deg, I = 43.2
48.02 deg, I = 12.8
49.83 deg, I = 13.9
52.78 deg, I = 14.4

=====

# TcCl3
Theoretical powder XRD pattern, Cu Kα. Input: a PBE-relaxed structure.
Peak positions follow from Bragg's law for the DFT cell and can differ from measured ones.

Crystal structure
```
TcCl3
1.0
5.240 3.025 6.944
-5.240 3.025 6.944
0.000 -6.050 6.944
Tc Cl
6 18
Direct
0.120 0.353 0.353
0.353 0.120 0.353
0.353 0.353 0.120
0.647 0.647 0.880
0.647 0.880 0.647
0.880 0.647 0.647
0.035 0.729 0.729
0.124 0.124 0.581
0.124 0.581 0.124
0.174 0.493 0.493
0.271 0.271 0.965
0.271 0.965 0.271
0.419 0.876 0.876
0.493 0.174 0.493
0.493 0.493 0.174
0.507 0.507 0.826
0.507 0.826 0.507
0.581 0.124 0.124
0.729 0.035 0.729
0.729 0.729 0.035
0.826 0.507 0.507
0.876 0.419 0.876
0.876 0.876 0.419
0.965 0.271 0.271
```

The 8 most intense peaks (2θ = 10–90°), by angle:
12.94 deg, I = 100.0
19.65 deg, I = 9.3
29.53 deg, I = 8.9
35.93 deg, I = 20.6
38.91 deg, I = 10.4
39.97 deg, I = 11.9
47.75 deg, I = 8.9
50.44 deg, I = 10.3

=====

# TeCl4
Theoretical powder XRD pattern, Cu Kα. Input: a PBE-relaxed structure.
Peak positions follow from Bragg's law for the DFT cell and can differ from measured ones.

Crystal structure
```
TeCl4
1.0
9.000 -5.487 0.000
9.000 5.487 0.000
-7.341 0.000 14.462
Te Cl
8 32
Direct
0.236 0.760 0.613
0.240 0.764 0.887
0.341 0.386 0.184
0.386 0.341 0.684
0.614 0.659 0.316
0.659 0.614 0.816
0.760 0.236 0.113
0.764 0.240 0.387
0.021 0.976 0.626
0.024 0.979 0.874
0.132 0.642 0.462
0.134 0.611 0.192
0.134 0.621 0.690
0.142 0.650 0.934
0.245 0.282 0.026
0.257 0.274 0.243
0.274 0.257 0.743
0.282 0.245 0.526
0.350 0.858 0.566
0.358 0.868 0.038
0.379 0.866 0.810
0.389 0.866 0.308
0.493 0.504 0.130
0.496 0.507 0.370
0.504 0.493 0.630
0.507 0.496 0.870
0.611 0.134 0.692
0.621 0.134 0.190
0.642 0.132 0.962
0.650 0.142 0.434
0.718 0.755 0.474
0.726 0.743 0.257
0.743 0.726 0.757
0.755 0.718 0.974
0.858 0.350 0.066
0.866 0.379 0.310
0.866 0.389 0.808
0.868 0.358 0.538
0.976 0.021 0.126
0.979 0.024 0.374
```

The 8 most intense peaks (2θ = 10–90°), by angle:
10.11 deg, I = 30.2
11.02 deg, I = 35.2
13.58 deg, I = 65.0
18.48 deg, I = 55.9
19.60 deg, I = 30.6
31.36 deg, I = 100.0
32.65 deg, I = 48.0
45.90 deg, I = 56.8

=====

# Te2Cl
Theoretical powder XRD pattern, Cu Kα. Input: a PBE-relaxed structure.
Peak positions follow from Bragg's law for the DFT cell and can differ from measured ones.

Crystal structure
```
Te2Cl
1.0
16.105 0.000 0.000
0.000 3.998 0.000
0.000 0.000 12.837
Te Cl
16 8
Direct
0.078 0.250 0.238
0.094 0.750 0.079
0.185 0.750 0.701
0.220 0.250 0.549
0.280 0.750 0.049
0.315 0.250 0.201
0.406 0.250 0.579
0.422 0.750 0.738
0.578 0.250 0.262
0.594 0.750 0.421
0.685 0.750 0.799
0.720 0.250 0.951
0.780 0.750 0.451
0.815 0.250 0.299
0.906 0.250 0.921
0.922 0.750 0.762
0.058 0.750 0.389
0.156 0.250 0.856
0.344 0.750 0.356
0.442 0.250 0.889
0.558 0.750 0.111
0.656 0.250 0.644
0.844 0.750 0.144
0.942 0.250 0.611
```

The 8 most intense peaks (2θ = 10–90°), by angle:
14.86 deg, I = 58.0
23.15 deg, I = 100.0
28.57 deg, I = 30.9
30.60 deg, I = 88.9
31.11 deg, I = 38.0
34.57 deg, I = 65.7
42.58 deg, I = 29.0
45.92 deg, I = 43.3

=====

# Tl2TeCl6
Theoretical powder XRD pattern, Cu Kα. Input: a PBE-relaxed structure.
Peak positions follow from Bragg's law for the DFT cell and can differ from measured ones.

Crystal structure
```
Tl2TeCl6
1.0
0.000 5.187 5.187
5.187 0.000 5.187
5.187 5.187 0.000
Tl Te Cl
2 1 6
Direct
0.250 0.250 0.250
0.750 0.750 0.750
0.000 0.000 0.000
0.247 0.247 0.753
0.247 0.753 0.247
0.247 0.753 0.753
0.753 0.247 0.247
0.753 0.247 0.753
0.753 0.753 0.247
```

The 8 most intense peaks (2θ = 10–90°), by angle:
17.09 deg, I = 20.9
24.27 deg, I = 100.0
29.84 deg, I = 48.8
34.59 deg, I = 55.2
42.70 deg, I = 47.2
49.72 deg, I = 38.1
56.07 deg, I = 21.8
67.57 deg, I = 25.1

=====

# TeWCl9
Theoretical powder XRD pattern, Cu Kα. Input: a PBE-relaxed structure.
Peak positions follow from Bragg's law for the DFT cell and can differ from measured ones.

Crystal structure
```
TeWCl9
1.0
6.578 0.000 0.000
0.191 9.519 0.000
3.160 3.336 10.612
Te W Cl
2 2 18
Direct
0.128 0.165 0.165
0.872 0.835 0.835
0.432 0.238 0.709
0.568 0.762 0.291
0.091 0.107 0.828
0.091 0.865 0.632
0.108 0.700 0.937
0.236 0.651 0.391
0.286 0.454 0.721
0.311 0.376 0.163
0.349 0.253 0.526
0.431 0.000 0.296
0.499 0.195 0.909
0.501 0.805 0.091
0.569 0.000 0.704
0.651 0.747 0.474
0.689 0.624 0.837
0.714 0.546 0.279
0.764 0.349 0.609
0.892 0.300 0.063
0.909 0.135 0.368
0.909 0.893 0.172
```

The 8 most intense peaks (2θ = 10–90°), by angle:
10.76 deg, I = 38.3
16.30 deg, I = 76.8
16.61 deg, I = 100.0
16.71 deg, I = 54.2
18.11 deg, I = 52.8
19.55 deg, I = 49.0
22.31 deg, I = 35.9
22.88 deg, I = 37.3

=====

# Te2WCl6
Theoretical powder XRD pattern, Cu Kα. Input: a PBE-relaxed structure.
Peak positions follow from Bragg's law for the DFT cell and can differ from measured ones.

Crystal structure
```
Te2WCl6
1.0
6.700 0.000 0.000
0.210 7.829 0.000
2.778 2.374 10.954
Te W Cl
4 2 12
Direct
0.117 0.095 0.328
0.236 0.852 0.506
0.764 0.148 0.494
0.883 0.905 0.672
0.291 0.329 0.804
0.709 0.671 0.196
0.032 0.797 0.112
0.165 0.609 0.818
0.230 0.370 0.609
0.359 0.289 0.995
0.379 0.552 0.283
0.420 0.048 0.783
0.580 0.952 0.217
0.621 0.448 0.717
0.641 0.711 0.005
0.770 0.630 0.391
0.835 0.391 0.182
0.968 0.203 0.888
```

The 8 most intense peaks (2θ = 10–90°), by angle:
15.47 deg, I = 57.5
17.35 deg, I = 100.0
17.46 deg, I = 26.2
17.68 deg, I = 32.0
17.81 deg, I = 38.6
22.94 deg, I = 30.9
32.28 deg, I = 44.0
33.61 deg, I = 26.4

=====

# Te2WCl6
Theoretical powder XRD pattern, Cu Kα. Input: a PBE-relaxed structure.
Peak positions follow from Bragg's law for the DFT cell and can differ from measured ones.

Crystal structure
```
Te2WCl6
1.0
6.979 0.000 0.000
0.000 13.315 0.000
-1.244 0.000 12.974
Te W Cl
8 4 24
Direct
0.143 0.126 0.003
0.143 0.374 0.503
0.161 0.546 0.621
0.161 0.954 0.121
0.839 0.046 0.879
0.839 0.454 0.379
0.857 0.626 0.497
0.857 0.874 0.997
0.357 0.634 0.169
0.357 0.866 0.669
0.643 0.134 0.331
0.643 0.366 0.831
0.078 0.724 0.209
0.078 0.776 0.709
0.172 0.006 0.634
0.172 0.494 0.134
0.305 0.690 0.001
0.305 0.810 0.501
0.364 0.053 0.366
0.364 0.447 0.866
0.412 0.580 0.343
0.412 0.920 0.843
0.468 0.221 0.783
0.468 0.279 0.283
0.532 0.721 0.717
0.532 0.779 0.217
0.588 0.080 0.157
0.588 0.420 0.657
0.636 0.553 0.134
0.636 0.947 0.634
0.695 0.190 0.499
0.695 0.310 0.999
0.828 0.506 0.866
0.828 0.994 0.366
0.922 0.224 0.291
0.922 0.276 0.791
```

The 8 most intense peaks (2θ = 10–90°), by angle:
14.38 deg, I = 28.9
14.96 deg, I = 51.6
15.19 deg, I = 65.6
16.44 deg, I = 46.2
17.79 deg, I = 100.0
19.26 deg, I = 84.0
25.11 deg, I = 32.0
40.60 deg, I = 38.9

=====

Copy entry 9 word for word.
# Te2WCl6
Theoretical powder XRD pattern, Cu Kα. Input: a PBE-relaxed structure.
Peak positions follow from Bragg's law for the DFT cell and can differ from measured ones.

Crystal structure
```
Te2WCl6
1.0
6.700 0.000 0.000
0.210 7.829 0.000
2.778 2.374 10.954
Te W Cl
4 2 12
Direct
0.117 0.095 0.328
0.236 0.852 0.506
0.764 0.148 0.494
0.883 0.905 0.672
0.291 0.329 0.804
0.709 0.671 0.196
0.032 0.797 0.112
0.165 0.609 0.818
0.230 0.370 0.609
0.359 0.289 0.995
0.379 0.552 0.283
0.420 0.048 0.783
0.580 0.952 0.217
0.621 0.448 0.717
0.641 0.711 0.005
0.770 0.630 0.391
0.835 0.391 0.182
0.968 0.203 0.888
```

The 8 most intense peaks (2θ = 10–90°), by angle:
15.47 deg, I = 57.5
17.35 deg, I = 100.0
17.46 deg, I = 26.2
17.68 deg, I = 32.0
17.81 deg, I = 38.6
22.94 deg, I = 30.9
32.28 deg, I = 44.0
33.61 deg, I = 26.4